The following is a theoretical powder XRD pattern of Hg2H3F6. It was derived from DFT lattice parameters and positions (GGA-PBE), using Cu Kα, 1.54184 Å.
Kinematic intensities with the Lorentz-polarization factor, no thermal factor.

Principal peaks in the range 10° ≤ 2θ ≤ 80°, by angle:
2θ (°)  intensity
17.66  74
18.47  37
18.89  100
27.57  33
31.79  92
32.50  18
32.93  31
40.25  26
42.06  20
51.47  23

Cell and atoms:
Cell: 5.848 5.848 10.058 Å, 92.30 92.30 67.19°
Fractional positions:
Hg1 0.126 0.648 0.972
Hg2 0.352 0.874 0.528
Hg3 0.648 0.126 0.472
Hg4 0.874 0.352 0.028
H1 0.003 0.658 0.677
H2 0.342 0.997 0.823
H3 0.453 0.547 0.250
H4 0.547 0.453 0.750
H5 0.658 0.003 0.177
H6 0.997 0.342 0.323
F1 0.002 0.185 0.415
F2 0.014 0.533 0.749
F3 0.185 0.002 0.915
F4 0.453 0.535 0.364
F5 0.465 0.547 0.136
F6 0.467 0.986 0.751
F7 0.533 0.014 0.249
F8 0.535 0.453 0.864
F9 0.547 0.465 0.636
F10 0.815 0.998 0.085
F11 0.986 0.467 0.251
F12 0.998 0.815 0.585


The following is a theoretical powder XRD pattern of La2Pr8Sn. It was derived from DFT lattice parameters and positions (GGA-PBE), using Cu Kα, 1.54184 Å.
Kinematic intensities with the Lorentz-polarization factor, no thermal factor.

Principal peaks in the range 10° ≤ 2θ ≤ 80°, by angle:
2θ (°)  intensity
28.76  29
28.87  30
29.96  100
30.36  31
30.64  24
30.94  29
32.87  21
34.07  43
34.95  37
35.72  22

Cell and atoms:
Cell: 9.767 9.767 6.409 Å, 104.21 104.21 40.83°
Fractional positions:
La1 0.232 0.232 0.362
La2 0.768 0.768 0.638
Pr1 0.085 0.085 0.927
Pr2 0.178 0.649 0.551
Pr3 0.306 0.306 0.921
Pr4 0.351 0.822 0.449
Pr5 0.649 0.178 0.551
Pr6 0.694 0.694 0.079
Pr7 0.822 0.351 0.449
Pr8 0.915 0.915 0.073
Sn1 0.500 0.500 0.000


The following is a theoretical powder XRD pattern of TaBi4ClO8. It was derived from DFT lattice parameters and positions (GGA-PBE), using Cu Kα, 1.54184 Å.
Kinematic intensities with the Lorentz-polarization factor, no thermal factor.

Principal peaks in the range 10° ≤ 2θ ≤ 80°, by angle:
2θ (°)  intensity
25.71  20
29.12  100
30.35  11
32.06  18
32.41  20
44.99  10
46.23  18
55.10  17
55.34  11
55.80  17

Cell and atoms:
Cell: 5.525 5.584 29.451 Å, 90.00 90.00 90.00°
Fractional positions:
Ta1 0.000 0.021 0.250
Ta2 0.000 0.979 0.750
Ta3 0.500 0.479 0.750
Ta4 0.500 0.521 0.250
Bi1 0.010 0.014 0.568
Bi2 0.010 0.986 0.068
Bi3 0.023 0.444 0.343
Bi4 0.023 0.556 0.843
Bi5 0.477 0.056 0.843
Bi6 0.477 0.944 0.343
Bi7 0.490 0.486 0.068
Bi8 0.490 0.514 0.568
Bi9 0.510 0.486 0.432
Bi10 0.510 0.514 0.932
Bi11 0.523 0.056 0.657
Bi12 0.523 0.944 0.157
Bi13 0.977 0.444 0.157
Bi14 0.977 0.556 0.657
Bi15 0.990 0.014 0.932
Bi16 0.990 0.986 0.432
Cl1 0.000 0.500 0.000
Cl2 0.000 0.500 0.500
Cl3 0.500 0.000 0.000
Cl4 0.500 0.000 0.500
O1 0.099 0.070 0.315
O2 0.099 0.930 0.815
O3 0.244 0.239 0.106
O4 0.244 0.761 0.606
O5 0.247 0.255 0.895
O6 0.247 0.300 0.235
O7 0.247 0.700 0.735
O8 0.247 0.745 0.395
O9 0.253 0.200 0.735
O10 0.253 0.245 0.395
O11 0.253 0.755 0.895
O12 0.253 0.800 0.235
O13 0.256 0.261 0.606
O14 0.256 0.739 0.106
O15 0.401 0.430 0.815
O16 0.401 0.570 0.315
O17 0.599 0.430 0.685
O18 0.599 0.570 0.185
O19 0.744 0.261 0.894
O20 0.744 0.739 0.394
O21 0.747 0.200 0.765
O22 0.747 0.245 0.105
O23 0.747 0.755 0.605
O24 0.747 0.800 0.265
O25 0.753 0.255 0.605
O26 0.753 0.300 0.265
O27 0.753 0.700 0.765
O28 0.753 0.745 0.105
O29 0.756 0.239 0.394
O30 0.756 0.761 0.894
O31 0.901 0.070 0.185
O32 0.901 0.930 0.685


The following is a theoretical powder XRD pattern of Na3CdAu. It was derived from DFT lattice parameters and positions (GGA-PBE), using Cu Kα, 1.54184 Å.
Kinematic intensities with the Lorentz-polarization factor, no thermal factor.

Principal peaks in the range 10° ≤ 2θ ≤ 80°, by angle:
2θ (°)  intensity
14.22  82
17.39  77
18.39  100
21.16  87
24.44  49
34.64  53
35.03  60
35.20  70
35.91  67
38.21  41

Cell and atoms:
Cell: 5.651 6.758 7.892 Å, 102.15 105.95 104.85°
Fractional positions:
Na1 0.031 0.398 0.179
Na2 0.255 0.252 0.590
Na3 0.329 0.147 0.971
Na4 0.671 0.853 0.029
Na5 0.745 0.748 0.410
Na6 0.969 0.602 0.821
Cd1 0.323 0.764 0.590
Cd2 0.677 0.236 0.410
Au1 0.221 0.871 0.238
Au2 0.779 0.129 0.762


The following is a theoretical powder XRD pattern of Tl2PtCl7. It was derived from DFT lattice parameters and positions (GGA-PBE), using Cu Kα, 1.54184 Å.
Kinematic intensities with the Lorentz-polarization factor, no thermal factor.

Principal peaks in the range 10° ≤ 2θ ≤ 80°, by angle:
2θ (°)  intensity
13.43  46
16.48  79
17.00  82
18.90  100
22.49  75
24.59  53
25.25  73
26.71  58
27.68  63
32.12  54

Cell and atoms:
Cell: 8.503 8.503 11.394 Å, 113.57 113.57 58.89°
Fractional positions:
Tl1 0.175 0.240 0.059
Tl2 0.240 0.175 0.559
Tl3 0.760 0.825 0.441
Tl4 0.825 0.760 0.941
Pt1 0.308 0.692 0.750
Pt2 0.692 0.308 0.250
Cl1 0.032 0.968 0.750
Cl2 0.110 0.617 0.175
Cl3 0.184 0.547 0.802
Cl4 0.210 0.560 0.528
Cl5 0.383 0.890 0.325
Cl6 0.440 0.790 0.972
Cl7 0.453 0.816 0.698
Cl8 0.547 0.184 0.302
Cl9 0.560 0.210 0.028
Cl10 0.617 0.110 0.675
Cl11 0.790 0.440 0.472
Cl12 0.816 0.453 0.198
Cl13 0.890 0.383 0.825
Cl14 0.968 0.032 0.250


The following is a theoretical powder XRD pattern of K2Cu2Se2S. It was derived from DFT lattice parameters and positions (GGA-PBE), using Cu Kα, 1.54184 Å.
Kinematic intensities with the Lorentz-polarization factor, no thermal factor.

Principal peaks in the range 10° ≤ 2θ ≤ 80°, by angle:
2θ (°)  intensity
12.28  100
14.61  39
16.23  36
25.10  43
28.55  30
31.10  52
32.32  51
35.52  30
35.84  28
44.31  32

Cell and atoms:
Cell: 6.641 6.641 7.514 Å, 105.57 105.57 35.85°
Fractional positions:
K1 0.104 0.104 0.301
K2 0.896 0.896 0.699
Cu1 0.339 0.339 0.072
Cu2 0.661 0.661 0.928
Se1 0.189 0.189 0.770
Se2 0.811 0.811 0.230
S1 0.500 0.500 0.000


The following is a theoretical powder XRD pattern of K4Ba2SnP4. It was derived from DFT lattice parameters and positions (GGA-PBE), using Cu Kα, 1.54184 Å.
Kinematic intensities with the Lorentz-polarization factor, no thermal factor.

Principal peaks in the range 10° ≤ 2θ ≤ 80°, by angle:
2θ (°)  intensity
14.68  62
26.21  47
28.51  43
28.77  59
28.94  68
29.62  66
30.20  62
30.69  65
34.48  49
34.60  100

Cell and atoms:
Cell: 10.374 10.374 7.882 Å, 91.16 91.16 119.75°
Fractional positions:
K1 0.057 0.348 0.476
K2 0.071 0.929 0.500
K3 0.152 0.681 0.796
K4 0.338 0.484 0.950
K5 0.348 0.057 0.976
K6 0.484 0.338 0.450
K7 0.681 0.152 0.296
K8 0.929 0.071 0.000
Ba1 0.265 0.738 0.292
Ba2 0.684 0.740 0.302
Ba3 0.738 0.265 0.792
Ba4 0.740 0.684 0.802
Sn1 0.537 0.870 0.683
Sn2 0.870 0.537 0.183
P1 0.008 0.814 0.097
P2 0.012 0.410 0.080
P3 0.409 0.601 0.558
P4 0.410 0.012 0.580
P5 0.541 0.859 0.012
P6 0.601 0.409 0.058
P7 0.814 0.008 0.597
P8 0.859 0.541 0.512


The following is a theoretical powder XRD pattern of Tm2AlSi2Ru5. It was derived from DFT lattice parameters and positions (GGA-PBE), using Cu Kα, 1.54184 Å.
Kinematic intensities with the Lorentz-polarization factor, no thermal factor.

Principal peaks in the range 10° ≤ 2θ ≤ 80°, by angle:
2θ (°)  intensity
33.18  23
34.43  76
37.50  94
37.97  21
38.63  41
40.18  100
43.32  32
66.46  20
67.22  21
70.39  29

Cell and atoms:
Cell: 9.889 9.889 3.223 Å, 90.00 90.00 90.00°
Fractional positions:
Tm1 0.172 0.328 0.000
Tm2 0.328 0.828 0.000
Tm3 0.672 0.172 0.000
Tm4 0.828 0.672 0.000
Al1 0.000 0.000 0.000
Al2 0.500 0.500 0.000
Si1 0.129 0.629 0.000
Si2 0.371 0.129 0.000
Si3 0.629 0.871 0.000
Si4 0.871 0.371 0.000
Ru1 0.000 0.500 0.500
Ru2 0.067 0.794 0.500
Ru3 0.206 0.067 0.500
Ru4 0.294 0.567 0.500
Ru5 0.433 0.294 0.500
Ru6 0.500 0.000 0.500
Ru7 0.567 0.706 0.500
Ru8 0.706 0.433 0.500
Ru9 0.794 0.933 0.500
Ru10 0.933 0.206 0.500


The following is a theoretical powder XRD pattern of Nd15Er4Tm. It was derived from DFT lattice parameters and positions (GGA-PBE), using Cu Kα, 1.54184 Å.
Kinematic intensities with the Lorentz-polarization factor, no thermal factor.

Principal peaks in the range 10° ≤ 2θ ≤ 80°, by angle:
2θ (°)  intensity
30.12  100
34.86  34
35.03  17
50.13  12
50.25  24
59.60  29
59.82  14
62.62  12
73.61  4
74.01  2

Cell and atoms:
Cell: 5.147 5.147 25.617 Å, 90.00 90.00 90.00°
Fractional positions:
Nd1 0.000 0.000 0.000
Nd2 0.000 0.000 0.200
Nd3 0.000 0.000 0.400
Nd4 0.000 0.000 0.600
Nd5 0.000 0.000 0.800
Nd6 0.000 0.500 0.100
Nd7 0.000 0.500 0.300
Nd8 0.000 0.500 0.500
Nd9 0.000 0.500 0.700
Nd10 0.000 0.500 0.900
Nd11 0.500 0.000 0.100
Nd12 0.500 0.000 0.300
Nd13 0.500 0.000 0.500
Nd14 0.500 0.000 0.700
Nd15 0.500 0.000 0.900
Er1 0.500 0.500 0.200
Er2 0.500 0.500 0.400
Er3 0.500 0.500 0.600
Er4 0.500 0.500 0.800
Tm1 0.500 0.500 0.000